Record 1
# Zn2SbWO6
Simulated X-ray powder pattern, Cu Kα (weighted mean of Kα1 and Kα2). Input: a crystal structure in the Materials Project, relaxed with PBE+U.
No peak broadening, texture or thermal motion is included.

Atomic structure:
abc: 5.1881 5.6730 6.1509
angles: 81.20 79.57 68.80
Space group P1 (No. 1)
Symmetry-distinct sites (fractional):
Zn  0.0000  0.0000  0.0000 [1 per cell]
Zn  0.2877  0.6883  0.5185 [1 per cell]
Sb  0.2007  0.3663  0.1141 [1 per cell]
W  0.7167  0.0770  0.5010 [1 per cell]
O  0.1240  0.7158  0.2444 [1 per cell]
O  0.4435  0.3297  0.6436 [1 per cell]
O  0.5627  0.8293  0.5381 [1 per cell]
O  0.6003  0.1843  0.1917 [1 per cell]
O  0.9546  0.8940  0.7255 [1 per cell]
O  0.9951  0.2435  0.3898 [1 per cell]

Main lines, most intense first (5 to 70 degrees two-theta):
Position (°2θ)	I (rel.)
20.33	100
32.45	91
16.84	62
22.08	61
35.74	59
29.67	58
14.71	58
25.28	57
32.71	48
21.33	45
29.19	41
27.56	36

Record 2
# Co3BPO7
Simulated X-ray powder pattern, Cu Kα (weighted mean of Kα1 and Kα2). Input: a crystal structure in the Materials Project, relaxed with PBE+U.
No peak broadening, texture or thermal motion is included.

Atomic structure:
abc: 4.9395 8.0764 8.0831
angles: 64.40 72.53 72.33
Space group P1 (No. 1)
Symmetry-distinct sites (fractional):
Co  0.0000  0.0000  0.0000 [1 per cell]
Co  0.0757  0.5576  0.2144 [1 per cell]
Co  0.3644  0.2706  0.9284 [1 per cell]
Co  0.5001  0.4938  0.5030 [1 per cell]
Co  0.6457  0.0383  0.6685 [1 per cell]
Co  0.8691  0.8203  0.4465 [1 per cell]
B  0.0422  0.2887  0.6299 [1 per cell]
B  0.4749  0.8516  0.1959 [1 per cell]
P  0.2512  0.7406  0.7497 [1 per cell]
P  0.6916  0.2798  0.2091 [1 per cell]
O  0.0622  0.8823  0.6029 [1 per cell]
O  0.0913  0.7467  0.9440 [1 per cell]
O  0.1344  0.4433  0.4849 [1 per cell]
O  0.2031  0.8169  0.2199 [1 per cell]
O  0.2268  0.1582  0.7504 [1 per cell]
O  0.2954  0.5427  0.7455 [1 per cell]
O  0.4114  0.3600  0.1260 [1 per cell]
O  0.5525  0.7916  0.6965 [1 per cell]
O  0.5738  0.9975  0.0399 [1 per cell]
O  0.6502  0.7344  0.3265 [1 per cell]
O  0.6610  0.0981  0.3853 [1 per cell]
O  0.7471  0.4277  0.2613 [1 per cell]
O  0.7600  0.2645  0.6645 [1 per cell]
O  0.9479  0.2318  0.0582 [1 per cell]

Main lines, most intense first (5 to 70 degrees two-theta):
Position (°2θ)	I (rel.)
34.98	100
20.67	86
36.20	61
20.76	53
35.12	45
36.38	34
51.19	26
51.46	20
13.87	18
64.48	15
64.36	14
57.74	11

Record 3
# Li9Mn2Co5O16
Simulated X-ray powder pattern, Cu Kα (weighted mean of Kα1 and Kα2). Input: a crystal structure in the Materials Project, relaxed with PBE+U.
No peak broadening, texture or thermal motion is included.

Atomic structure:
abc: 5.8463 5.9191 9.7257
angles: 92.15 99.08 119.35
Space group P1 (No. 1)
Symmetry-distinct sites (fractional):
Li  0.0000  0.0000  0.0000 [1 per cell]
Li  0.0005  0.2545  0.5067 [1 per cell]
Li  0.2382  0.3621  0.2667 [1 per cell]
Li  0.2452  0.8704  0.2586 [1 per cell]
Li  0.4920  0.7409  0.5100 [1 per cell]
Li  0.4970  0.2485  0.5061 [1 per cell]
Li  0.7557  0.6345  0.7475 [1 per cell]
Li  0.7565  0.1322  0.7424 [1 per cell]
Li  0.9991  0.4978  0.0018 [1 per cell]
Mn  0.4955  0.9939  0.0024 [1 per cell]
Mn  0.7452  0.3698  0.2574 [1 per cell]
Co  0.2538  0.1331  0.7467 [1 per cell]
Co  0.2548  0.6250  0.7526 [1 per cell]
Co  0.4910  0.4941  0.0010 [1 per cell]
Co  0.7577  0.8806  0.2652 [1 per cell]
Co  0.9980  0.7491  0.5108 [1 per cell]
O  0.0924  0.5611  0.3731 [1 per cell]
O  0.0961  0.0438  0.3715 [1 per cell]
O  0.1455  0.2987  0.8806 [1 per cell]
O  0.1509  0.8076  0.8808 [1 per cell]
O  0.3668  0.9540  0.6307 [1 per cell]
O  0.3712  0.4520  0.6415 [1 per cell]
O  0.3923  0.1833  0.1241 [1 per cell]
O  0.3977  0.7141  0.1202 [1 per cell]
O  0.5960  0.2744  0.8839 [1 per cell]
O  0.6044  0.8042  0.8868 [1 per cell]
O  0.6266  0.5540  0.3698 [1 per cell]
O  0.6315  0.0862  0.3658 [1 per cell]
O  0.8365  0.6490  0.1308 [1 per cell]
O  0.8486  0.1836  0.1300 [1 per cell]
O  0.8982  0.9392  0.6313 [1 per cell]
O  0.9121  0.4688  0.6361 [1 per cell]

Main lines, most intense first (5 to 70 degrees two-theta):
Position (°2θ)	I (rel.)
18.33	100
42.34	30
44.10	26
44.27	26
35.17	16
36.32	13
36.50	12
62.85	8
62.61	8
62.73	7
63.22	7
64.86	7

Record 4
# NaNi2P2O9
Simulated X-ray powder pattern, Cu Kα (weighted mean of Kα1 and Kα2). Input: a crystal structure in the Materials Project, relaxed with PBE+U.
No peak broadening, texture or thermal motion is included.

Atomic structure:
abc: 14.1292 6.3738 7.3492
angles: 90.00 90.00 90.00
Space group Pnma (No. 62)
Symmetry-distinct sites (fractional):
Na  0.2173  0.2500  0.1112 [4 per cell]
Ni  0.0000  0.0000  0.0000 [4 per cell]
Ni  0.1257  0.2500  0.6438 [4 per cell]
P  0.0629  0.7500  0.6339 [4 per cell]
P  0.1895  0.7500  0.0994 [4 per cell]
O  0.0043  0.2500  0.5278 [4 per cell]
O  0.0109  0.7500  0.8195 [4 per cell]
O  0.0499  0.2500  0.8629 [4 per cell]
O  0.1292  0.5507  0.0938 [8 per cell]
O  0.1325  0.5632  0.6240 [8 per cell]
O  0.2296  0.2500  0.4531 [4 per cell]
O  0.2463  0.2500  0.7744 [4 per cell]

Main lines, most intense first (5 to 70 degrees two-theta):
Position (°2θ)	I (rel.)
25.04	100
31.24	65
17.41	53
28.01	48
30.83	37
12.53	35
33.99	33
22.39	32
19.48	28
37.30	26
57.59	25
13.58	23

Record 5
# Fe2B2O5
Simulated X-ray powder pattern, Cu Kα (weighted mean of Kα1 and Kα2). Input: a crystal structure in the Materials Project, relaxed with PBE+U.
No peak broadening, texture or thermal motion is included.

Atomic structure:
abc: 3.2835 6.2584 9.5346
angles: 105.13 91.07 91.80
Space group P-1 (No. 2)
Symmetry-distinct sites (fractional):
Fe  0.2373  0.3636  0.1003 [2 per cell]
Fe  0.2524  0.7868  0.6396 [2 per cell]
B  0.3059  0.3198  0.6459 [2 per cell]
B  0.3453  0.8754  0.1700 [2 per cell]
O  0.2421  0.0883  0.1812 [2 per cell]
O  0.2428  0.2707  0.5003 [2 per cell]
O  0.2590  0.6921  0.0567 [2 per cell]
O  0.2637  0.5267  0.7394 [2 per cell]
O  0.4289  0.1439  0.7044 [2 per cell]

Main lines, most intense first (5 to 70 degrees two-theta):
Position (°2θ)	I (rel.)
33.09	100
19.59	85
34.00	57
30.88	40
44.15	33
44.92	27
29.59	25
46.70	24
56.07	19
29.00	17
59.28	13
39.18	13

Record 6
# LiMnF4
Simulated X-ray powder pattern, Cu Kα (weighted mean of Kα1 and Kα2). Input: a crystal structure in the Materials Project, relaxed with PBE+U.
No peak broadening, texture or thermal motion is included.

Atomic structure:
abc: 4.9073 5.5306 10.2482
angles: 90.00 91.20 90.00
Space group P2/c (No. 13)
Symmetry-distinct sites (fractional):
Li  0.0000  0.0632  0.2500 [2 per cell]
Li  0.5000  0.4242  0.2500 [2 per cell]
Mn  0.0000  0.5000  0.0000 [2 per cell]
Mn  0.5000  0.0000  0.0000 [2 per cell]
F  0.1738  0.3439  0.3636 [4 per cell]
F  0.2150  0.1471  0.9032 [4 per cell]
F  0.2854  0.3873  0.6075 [4 per cell]
F  0.3300  0.1184  0.1460 [4 per cell]

Main lines, most intense first (5 to 70 degrees two-theta):
Position (°2θ)	I (rel.)
24.25	100
17.31	100
29.72	63
30.18	48
38.29	37
41.13	30
42.73	28
36.94	26
51.01	22
48.44	18
32.38	18
52.16	18

Record 7
# KLiW6O18
Simulated X-ray powder pattern, Cu Kα (weighted mean of Kα1 and Kα2). Input: a crystal structure in the Materials Project, relaxed with PBE+U.
No peak broadening, texture or thermal motion is included.

Atomic structure:
abc: 7.4960 7.4972 7.7213
angles: 89.98 89.99 60.32
Space group P1 (No. 1)
Symmetry-distinct sites (fractional):
K  0.0000  0.0000  0.0000 [1 per cell]
Li  0.7046  0.7045  0.4842 [1 per cell]
W  0.0042  0.4904  0.7354 [1 per cell]
W  0.0058  0.5049  0.2309 [1 per cell]
W  0.4904  0.0041  0.2315 [1 per cell]
W  0.4928  0.5096  0.7337 [1 per cell]
W  0.5049  0.0058  0.7360 [1 per cell]
W  0.5098  0.4926  0.2330 [1 per cell]
O  0.0086  0.4948  0.4829 [1 per cell]
O  0.2110  0.2132  0.2234 [1 per cell]
O  0.2129  0.5728  0.7419 [1 per cell]
O  0.2136  0.2111  0.7433 [1 per cell]
O  0.2139  0.5741  0.2243 [1 per cell]
O  0.4289  0.7852  0.2396 [1 per cell]
O  0.4286  0.7859  0.7270 [1 per cell]
O  0.4950  0.0086  0.4833 [1 per cell]
O  0.4968  0.4968  0.4830 [1 per cell]
O  0.5060  0.5060  0.9835 [1 per cell]
O  0.5063  0.9897  0.9836 [1 per cell]
O  0.5735  0.2126  0.2247 [1 per cell]
O  0.5737  0.2142  0.7423 [1 per cell]
O  0.7840  0.7840  0.2438 [1 per cell]
O  0.7841  0.7837  0.7227 [1 per cell]
O  0.7852  0.4291  0.7269 [1 per cell]
O  0.7861  0.4282  0.2395 [1 per cell]
O  0.9898  0.5062  0.9834 [1 per cell]

Main lines, most intense first (5 to 70 degrees two-theta):
Position (°2θ)	I (rel.)
27.39	100
13.62	90
23.04	77
36.08	57
27.52	50
55.35	43
26.86	38
36.19	28
48.58	25
54.42	23
33.29	21
56.50	20